Record 1
For FeTc2W, a DFT-relaxed cell (PBE, Alexandria) gives the computed XRD peak list in this record (λ = 1.5418 Å (Cu Kα)).
Kinematic intensities with the Lorentz-polarization factor, no thermal factor.

Structural model:
```
data_FeTc2W
_space_group_name_H-M_alt 'F m m m'
_space_group_IT_number 69
_space_group_name_Hall '-F 2 2'
_cell_length_a 5.4803
_cell_length_b 5.4920
_cell_length_c 7.5672
_cell_angle_alpha 90.00
_cell_angle_beta 90.00
_cell_angle_gamma 90.00
loop_
_atom_site_label
_atom_site_fract_x
_atom_site_fract_y
_atom_site_fract_z
_atom_site_occupancy
Fe1 0.0000 0.0000 0.0000 1
Tc1 0.2500 0.2500 0.2500 1
W1 0.0000 0.0000 0.5000 1
```

Largest 8 diffraction maxima, in order of rising 2θ, 10° ≤ 2θ ≤ 80°:
| 2theta | I_rel | (hkl) |
| --- | --- | --- |
| 25.8 | 25 | 1 1 1 |
| 40.6 | 100 | 2 0 2 |
| 42.8 | 7 | 1 1 3 |
| 46.8 | 33 | 2 2 0 |
| 48.1 | 15 | 0 0 4 |
| 54.2 | 7 | 3 1 1 |
| 68.3 | 5 | 0 4 0 |
| 69.4 | 20 | 2 2 4 |

---

Record 2
For YFeTc, a DFT-relaxed cell (PBE, Alexandria) gives the computed XRD peak list in this record (λ = 1.5418 Å (Cu Kα)).
Kinematic intensities with the Lorentz-polarization factor, no thermal factor.

Structural model:
```
data_YFeTc
_space_group_name_H-M_alt 'I m m a'
_space_group_IT_number 74
_space_group_name_Hall '-I 2b 2'
_cell_length_a 5.1115
_cell_length_b 5.3335
_cell_length_c 7.7100
_cell_angle_alpha 90.00
_cell_angle_beta 90.00
_cell_angle_gamma 90.00
loop_
_atom_site_label
_atom_site_fract_x
_atom_site_fract_y
_atom_site_fract_z
_atom_site_occupancy
Y1 0.0000 0.2500 0.1231 1
Fe1 0.0000 0.0000 0.5000 1
Tc1 0.2500 0.2500 0.7500 1
```

Largest 8 diffraction maxima, in order of rising 2θ, 10° ≤ 2θ ≤ 80°:
| 2theta | I_rel | (hkl) |
| --- | --- | --- |
| 33.6 | 81 | 0 2 0 |
| 38.9 | 60 | 0 1 3 |
| 39.2 | 30 | 1 0 3 |
| 39.9 | 61 | 1 2 1 |
| 40.9 | 100 | 2 1 1 |
| 41.2 | 45 | 0 2 2 |
| 42.4 | 44 | 2 0 2 |
| 70.7 | 54 | 2 2 4 |

---

Record 3
For YFeTc2, a DFT-relaxed cell (PBE, Alexandria) gives the computed XRD peak list in this record (λ = 1.5418 Å (Cu Kα)).
Kinematic intensities with the Lorentz-polarization factor, no thermal factor.

Structural model:
```
data_YFeTc2
_space_group_name_H-M_alt 'A m m 2'
_space_group_IT_number 38
_cell_length_a 4.0293
_cell_length_b 3.0428
_cell_length_c 11.1245
_cell_angle_alpha 90.00
_cell_angle_beta 90.00
_cell_angle_gamma 90.00
loop_
_space_group_symop_operation_xyz
'x,y,z'
'-x,-y,z'
'-x,y,z'
'x,-y,z'
'x,y+1/2,z+1/2'
'-x,-y+1/2,z+1/2'
'-x,y+1/2,z+1/2'
'x,-y+1/2,z+1/2'
loop_
_atom_site_label
_atom_site_fract_x
_atom_site_fract_y
_atom_site_fract_z
_atom_site_occupancy
Y1 0.0000 0.0000 0.0000 1
Fe1 0.5000 0.0000 0.6321 1
Tc1 0.0000 0.0000 0.7397 1
Tc2 0.5000 0.0000 0.3242 1
```

Largest 8 diffraction maxima, in order of rising 2θ, 10° ≤ 2θ ≤ 80°:
| 2theta | I_rel | (hkl) |
| --- | --- | --- |
| 15.9 | 25 | 0 0 2 |
| 37.9 | 100 | 1 1 1 |
| 38.3 | 66 | 0 1 3 |
| 39.4 | 79 | 1 0 4 |
| 44.6 | 30 | 1 1 3 |
| 45.0 | 37 | 2 0 0 |
| 60.5 | 33 | 2 1 3 |
| 75.0 | 22 | 1 2 4 |

---

Record 4
For Zr3Fe8Tc, a DFT-relaxed cell (PBE, Alexandria) gives the computed XRD peak list in this record (λ = 1.5418 Å (Cu Kα)).
Kinematic intensities with the Lorentz-polarization factor, no thermal factor.

Structural model:
```
data_Zr3Fe8Tc
_space_group_name_H-M_alt 'R 3 m'
_space_group_IT_number 160
_space_group_name_Hall 'R 3 -2"'
_cell_length_a 4.9178
_cell_length_b 4.9178
_cell_length_c 24.1263
_cell_angle_alpha 90.00
_cell_angle_beta 90.00
_cell_angle_gamma 120.00
loop_
_atom_site_label
_atom_site_fract_x
_atom_site_fract_y
_atom_site_fract_z
_atom_site_occupancy
Zr1 0.0000 0.0000 0.0000 1
Zr2 0.0000 0.0000 0.1284 1
Zr3 0.0000 0.0000 0.5091 1
Fe1 0.0000 0.0000 0.3160 1
Fe2 0.0000 0.0000 0.8169 1
Fe3 0.1675 0.3349 0.3992 1
Fe4 0.1677 0.3354 0.9006 1
Tc1 0.0000 0.0000 0.6307 1
```

Largest 8 diffraction maxima, in order of rising 2θ, 10° ≤ 2θ ≤ 80°:
| 2theta | I_rel | (hkl) |
| --- | --- | --- |
| 22.1 | 1 | 0 1 2 |
| 36.5 | 46 | 1 1 0 |
| 43.1 | 100 | 2 0 2 |
| 45.1 | 25 | 0 0 12 |
| 65.7 | 15 | 3 0 0 |
| 70.3 | 17 | 2 1 10 |
| 70.3 | 11 | 3 0 6 |
| 77.6 | 22 | 2 2 0 |

---

Record 5
For Zr5FeTc4, a DFT-relaxed cell (PBE, Alexandria) gives the computed XRD peak list in this record (λ = 1.5418 Å (Cu Kα)).
Kinematic intensities with the Lorentz-polarization factor, no thermal factor.

Structural model:
```
data_Zr5FeTc4
_space_group_name_H-M_alt 'P 4/m m m'
_space_group_IT_number 123
_space_group_name_Hall '-P 4 2'
_cell_length_a 3.2886
_cell_length_b 3.2886
_cell_length_c 16.3068
_cell_angle_alpha 90.00
_cell_angle_beta 90.00
_cell_angle_gamma 90.00
loop_
_atom_site_label
_atom_site_fract_x
_atom_site_fract_y
_atom_site_fract_z
_atom_site_occupancy
Zr1 0.0000 0.0000 0.0000 1
Zr2 0.0000 0.0000 0.2023 1
Zr3 0.0000 0.0000 0.4028 1
Fe1 0.5000 0.5000 0.5000 1
Tc1 0.5000 0.5000 0.1012 1
Tc2 0.5000 0.5000 0.3046 1
```

Largest 8 diffraction maxima, in order of rising 2θ, 10° ≤ 2θ ≤ 80°:
| 2theta | I_rel | (hkl) |
| --- | --- | --- |
| 10.9 | 1 | 0 0 2 |
| 35.1 | 1 | 1 0 4 |
| 38.7 | 51 | 1 1 0 |
| 38.9 | 100 | 1 0 5 |
| 55.9 | 17 | 2 0 0 |
| 56.4 | 8 | 0 0 10 |
| 70.2 | 33 | 2 1 5 |
| 70.5 | 16 | 1 1 10 |